1.
The following is a calculated powder X-ray diffraction pattern of Ce3Pr2Sn4. It was derived from the PBE geometry in Alexandria, using Cu Kα (λ = 1.5418 Å).
Peak positions follow from Bragg's law for the DFT cell and can differ from measured ones.

Structural model:
abc: 8.535 8.495 8.286
angles: 90.00 111.79 90.00
Space group P2_1/c (No. 14)
Inequivalent atoms, fractional coordinates:
Ce (0.000, 0.000, 0.000) [2 per cell]
Ce (0.257, 0.167, 0.775) [4 per cell]
Pr (0.302, 0.681, 0.937) [4 per cell]
Sn (0.009, 0.632, 0.129) [4 per cell]
Sn (0.417, 0.036, 0.172) [4 per cell]

Most intense lines, 15° ≤ 2θ ≤ 90°, low angle first:
2θ = 27.70°, rel. 39; 2θ = 28.28°, rel. 39; 2θ = 29.86°, rel. 100; 2θ = 30.25°, rel. 61; 2θ = 30.85°, rel. 79; 2θ = 31.20°, rel. 93; 2θ = 33.26°, rel. 56; 2θ = 33.73°, rel. 52; 2θ = 33.94°, rel. 33; 2θ = 34.18°, rel. 97

=====

2.
The following is a calculated powder X-ray diffraction pattern of U4TeSe7. It was derived from the PBE geometry in Alexandria, using Cu Kα (λ = 1.5418 Å).
Peak positions follow from Bragg's law for the DFT cell and can differ from measured ones.

Structural model:
abc: 7.668 4.078 9.258
angles: 90.00 91.24 90.00
Space group Pm (No. 6)
Inequivalent atoms, fractional coordinates:
U (0.000, 0.000, 0.000) [1 per cell]
U (0.022, 0.500, 0.484) [1 per cell]
U (0.502, 0.000, 0.210) [1 per cell]
U (0.558, 0.500, 0.701) [1 per cell]
Te (0.238, 0.000, 0.695) [1 per cell]
Se (0.122, 0.000, 0.291) [1 per cell]
Se (0.287, 0.500, 0.029) [1 per cell]
Se (0.409, 0.500, 0.416) [1 per cell]
Se (0.621, 0.000, 0.916) [1 per cell]
Se (0.741, 0.000, 0.516) [1 per cell]
Se (0.791, 0.500, 0.188) [1 per cell]
Se (0.921, 0.500, 0.788) [1 per cell]

Most intense lines, 15° ≤ 2θ ≤ 90°, low angle first:
2θ = 22.22°, rel. 48; 2θ = 22.66°, rel. 47; 2θ = 23.21°, rel. 40; 2θ = 23.84°, rel. 55; 2θ = 31.32°, rel. 41; 2θ = 33.36°, rel. 100; 2θ = 33.67°, rel. 79; 2θ = 38.22°, rel. 58; 2θ = 38.62°, rel. 54; 2θ = 44.43°, rel. 51

=====

3.
The following is a calculated powder X-ray diffraction pattern of AcPrZnBi. It was derived from the PBE geometry in Alexandria, using Cu Kα (λ = 1.5418 Å).
Peak positions follow from Bragg's law for the DFT cell and can differ from measured ones.

Structural model:
abc: 7.948 7.948 7.948
angles: 90.00 90.00 90.00
Space group F-43m (No. 216)
Inequivalent atoms, fractional coordinates:
Ac (0.000, 0.000, 0.000) [4 per cell]
Pr (0.000, 0.000, 0.500) [4 per cell]
Zn (0.250, 0.250, 0.750) [4 per cell]
Bi (0.250, 0.250, 0.250) [4 per cell]

Most intense lines, 15° ≤ 2θ ≤ 90°, low angle first:
2θ = 19.34°, rel. 13; 2θ = 31.85°, rel. 100; 2θ = 37.53°, rel. 8; 2θ = 45.66°, rel. 19; 2θ = 50.02°, rel. 4; 2θ = 56.74°, rel. 40; 2θ = 66.56°, rel. 12; 2θ = 70.04°, rel. 3; 2θ = 75.68°, rel. 17; 2θ = 84.45°, rel. 4

=====

4.
The following is a calculated powder X-ray diffraction pattern of TbZn5Rh2. It was derived from the PBE geometry in Alexandria, using Cu Kα (λ = 1.5418 Å).
Peak positions follow from Bragg's law for the DFT cell and can differ from measured ones.

Structural model:
abc: 3.818 7.686 9.424
angles: 90.00 90.00 90.00
Space group Immm (No. 71)
Inequivalent atoms, fractional coordinates:
Tb (0.000, 0.000, 0.000) [2 per cell]
Zn (0.000, 0.186, 0.349) [8 per cell]
Zn (0.000, 0.500, 0.000) [2 per cell]
Rh (0.000, 0.500, 0.266) [4 per cell]

Most intense lines, 15° ≤ 2θ ≤ 90°, low angle first:
2θ = 23.14°, rel. 31; 2θ = 32.35°, rel. 59; 2θ = 34.45°, rel. 79; 2θ = 36.34°, rel. 23; 2θ = 37.06°, rel. 100; 2θ = 42.49°, rel. 32; 2θ = 45.14°, rel. 59; 2θ = 46.85°, rel. 57; 2θ = 47.64°, rel. 40; 2θ = 67.72°, rel. 34

=====

5.
The following is a calculated powder X-ray diffraction pattern of Li4Mg10Cd. It was derived from the PBE geometry in Alexandria, using Cu Kα (λ = 1.5418 Å).
Peak positions follow from Bragg's law for the DFT cell and can differ from measured ones.

Structural model:
abc: 10.542 10.542 6.761
angles: 90.00 90.00 90.00
Space group I4/m (No. 87)
Inequivalent atoms, fractional coordinates:
Li (0.098, 0.698, 0.000) [8 per cell]
Mg (0.000, 0.500, 0.250) [4 per cell]
Mg (0.103, 0.202, 0.248) [16 per cell]
Cd (0.000, 0.000, 0.500) [2 per cell]

Most intense lines, 15° ≤ 2θ ≤ 90°, low angle first:
2θ = 15.57°, rel. 64; 2θ = 16.82°, rel. 26; 2θ = 23.00°, rel. 69; 2θ = 26.74°, rel. 22; 2θ = 33.39°, rel. 21; 2θ = 37.91°, rel. 100; 2θ = 38.18°, rel. 50; 2θ = 45.04°, rel. 18; 2θ = 68.29°, rel. 19; 2θ = 68.83°, rel. 31